For Pm3MgPt, a PBE-relaxed structure gives the calculated X-ray diffraction stick pattern in this record (Cu Kα (λ = 1.5418 Å)).
Lines closer than 0.1° are merged.

Structure:
a = 6.8839 Å, b = 9.7786 Å, c = 16.8768 Å
α = 90.00°, β = 90.00°, γ = 90.00°
Space group Fmmm (No. 69)
Inequivalent atoms, fractional coordinates:
Pm 0.0000 0.0000 0.2047
Pm 0.0000 0.1911 0.3928
Mg 0.2003 0.0000 0.0000
Pt 0.2500 0.2500 0.2500

The 10 most intense peaks (2θ from 5° to 70°), low angle first:
10.5°, intensity 79; 18.1°, intensity 27; 30.9°, intensity 70; 31.8°, intensity 16; 33.6°, intensity 100; 34.4°, intensity 19; 36.9°, intensity 23; 38.4°, intensity 54; 48.9°, intensity 18; 56.0°, intensity 18